# 1
This entry pairs a crystal structure of Os5Se3 with its calculated XRD peak list. Radiation: Cu Kα X-rays. Structure: a cell relaxed with PBE.

Cell and atoms:
a = 5.414 Å, b = 6.695 Å, c = 8.780 Å
α = 87.37°, β = 72.40°, γ = 69.32°
Fractional coordinates of all 16 atoms:
Os 0.000 0.000 0.000
Os 0.003 0.685 0.827
Os 0.061 0.245 0.186
Os 0.202 0.263 0.843
Os 0.262 0.805 0.210
Os 0.457 0.828 0.751
Os 0.541 0.003 0.989
Os 0.557 0.336 0.132
Os 0.675 0.934 0.272
Os 0.949 0.071 0.719
Se 0.022 0.604 0.102
Se 0.172 0.074 0.421
Se 0.338 0.527 0.400
Se 0.578 0.122 0.598
Se 0.688 0.469 0.853
Se 0.697 0.642 0.472

Top 10 peaks for 2θ from 15° to 90°, by angle:
- 21.3°, 4.174 Å, intensity 36.7
- 33.1°, 2.703 Å, intensity 82.8
- 39.6°, 2.278 Å, intensity 84.8
- 39.9°, 2.259 Å, intensity 62.3
- 41.3°, 2.185 Å, intensity 100.0
- 42.0°, 2.153 Å, intensity 48.4
- 42.1°, 2.147 Å, intensity 38.9
- 45.6°, 1.990 Å, intensity 52.1
- 46.3°, 1.959 Å, intensity 49.8
- 46.8°, 1.940 Å, intensity 37.7



# 2
This entry pairs a crystal structure of Er5Sc2Sb5 with its calculated XRD peak list. Radiation: Cu Kα X-rays. Structure: a cell relaxed with PBE.

Cell and atoms:
a = 7.346 Å, b = 7.346 Å, c = 12.202 Å
α = 110.91°, β = 110.91°, γ = 33.95°
Fractional coordinates of all 12 atoms:
Er 0.000 0.000 0.000
Er 0.162 0.162 0.532
Er 0.222 0.222 0.844
Er 0.778 0.778 0.156
Er 0.838 0.838 0.468
Sc 0.446 0.446 0.705
Sc 0.554 0.554 0.295
Sb 0.190 0.190 0.282
Sb 0.388 0.388 0.078
Sb 0.500 0.500 0.500
Sb 0.612 0.612 0.922
Sb 0.810 0.810 0.718

Top 10 peaks for 2θ from 15° to 90°, by angle:
- 24.4°, 3.652 Å, intensity 46.7
- 28.2°, 3.163 Å, intensity 100.0
- 29.3°, 3.050 Å, intensity 64.3
- 29.4°, 3.041 Å, intensity 53.3
- 31.5°, 2.838 Å, intensity 64.5
- 32.5°, 2.752 Å, intensity 88.2
- 36.5°, 2.463 Å, intensity 62.8
- 40.5°, 2.228 Å, intensity 42.3
- 41.9°, 2.155 Å, intensity 42.9
- 42.1°, 2.145 Å, intensity 55.4



# 3
This entry pairs a crystal structure of Na2Cd12Au7 with its calculated XRD peak list. Radiation: Cu Kα X-rays. Structure: a cell relaxed with PBE.

Cell and atoms:
a = 11.723 Å, b = 11.723 Å, c = 4.037 Å
α = 90.00°, β = 90.00°, γ = 120.00°
Fractional coordinates of all 21 atoms:
Na 0.333 0.667 0.252
Na 0.667 0.333 0.748
Cd 0.059 0.443 0.749
Cd 0.102 0.258 0.244
Cd 0.155 0.898 0.244
Cd 0.258 0.155 0.756
Cd 0.384 0.941 0.749
Cd 0.443 0.384 0.251
Cd 0.557 0.616 0.749
Cd 0.616 0.059 0.251
Cd 0.742 0.845 0.244
Cd 0.845 0.102 0.756
Cd 0.898 0.742 0.756
Cd 0.941 0.557 0.251
Au 0.000 0.000 0.500
Au 0.135 0.713 0.752
Au 0.287 0.422 0.752
Au 0.422 0.135 0.248
Au 0.578 0.865 0.752
Au 0.713 0.578 0.248
Au 0.865 0.287 0.248

Top 10 peaks for 2θ from 15° to 90°, by angle:
- 15.1°, 5.862 Å, intensity 24.1
- 23.2°, 3.837 Å, intensity 42.3
- 23.7°, 3.752 Å, intensity 39.6
- 32.2°, 2.781 Å, intensity 100.0
- 34.6°, 2.594 Å, intensity 33.7
- 39.0°, 2.310 Å, intensity 65.4
- 40.7°, 2.215 Å, intensity 84.0
- 42.0°, 2.149 Å, intensity 34.0
- 44.9°, 2.018 Å, intensity 43.4
- 62.2°, 1.492 Å, intensity 36.5



# 4
This entry pairs a crystal structure of ZrZn6Au3 with its calculated XRD peak list. Radiation: Cu Kα X-rays. Structure: a cell relaxed with PBE.

Cell and atoms:
a = 8.892 Å, b = 3.311 Å, c = 12.099 Å
α = 90.00°, β = 105.56°, γ = 90.00°
Fractional coordinates of all 20 atoms:
Zr 0.036 0.250 0.258
Zr 0.964 0.750 0.742
Zn 0.105 0.750 0.471
Zn 0.180 0.250 0.660
Zn 0.180 0.250 0.913
Zn 0.347 0.250 0.214
Zn 0.403 0.750 0.613
Zn 0.418 0.750 0.056
Zn 0.582 0.250 0.944
Zn 0.597 0.250 0.387
Zn 0.653 0.750 0.786
Zn 0.820 0.750 0.087
Zn 0.820 0.750 0.340
Zn 0.895 0.250 0.529
Au 0.125 0.750 0.084
Au 0.328 0.250 0.430
Au 0.357 0.750 0.822
Au 0.643 0.250 0.178
Au 0.672 0.750 0.570
Au 0.875 0.250 0.916

Top 10 peaks for 2θ from 15° to 90°, by angle:
- 22.4°, 3.960 Å, intensity 40.5
- 30.7°, 2.916 Å, intensity 100.0
- 35.3°, 2.540 Å, intensity 51.9
- 40.9°, 2.208 Å, intensity 74.3
- 41.3°, 2.187 Å, intensity 94.1
- 42.2°, 2.142 Å, intensity 30.8
- 42.8°, 2.111 Å, intensity 63.5
- 43.0°, 2.103 Å, intensity 53.0
- 44.1°, 2.053 Å, intensity 42.0
- 55.5°, 1.655 Å, intensity 42.8



# 5
This entry pairs a crystal structure of K2NpAuS4 with its calculated XRD peak list. Radiation: Cu Kα X-rays. Structure: a cell relaxed with PBE.

Cell and atoms:
a = 6.449 Å, b = 6.449 Å, c = 6.449 Å
α = 105.82°, β = 105.82°, γ = 117.06°
Fractional coordinates of all 8 atoms:
K 0.000 0.500 0.500
K 0.500 0.000 0.500
Np 0.000 0.000 0.000
Au 0.500 0.500 0.000
S 0.079 0.425 0.000
S 0.425 0.079 0.000
S 0.575 0.575 0.654
S 0.921 0.921 0.346

Top 10 peaks for 2θ from 15° to 90°, by angle:
- 16.1°, 5.500 Å, intensity 100.0
- 22.9°, 3.889 Å, intensity 60.9
- 31.1°, 2.871 Å, intensity 30.4
- 32.6°, 2.750 Å, intensity 41.5
- 35.3°, 2.545 Å, intensity 75.0
- 42.4°, 2.130 Å, intensity 28.9
- 45.7°, 1.986 Å, intensity 36.3
- 52.6°, 1.739 Å, intensity 20.0
- 54.5°, 1.684 Å, intensity 25.6
- 59.9°, 1.545 Å, intensity 31.6



# 6
This entry pairs a crystal structure of PrCoC2 with its calculated XRD peak list. Radiation: Cu Kα X-rays. Structure: a cell relaxed with PBE.

Cell and atoms:
a = 3.829 Å, b = 3.829 Å, c = 14.525 Å
α = 90.00°, β = 90.00°, γ = 90.00°
Fractional coordinates of all 16 atoms:
Pr 0.143 0.145 0.000
Pr 0.145 0.857 0.750
Pr 0.855 0.143 0.250
Pr 0.857 0.855 0.500
Co 0.353 0.361 0.596
Co 0.361 0.647 0.346
Co 0.639 0.353 0.846
Co 0.647 0.639 0.096
C 0.145 0.644 0.136
C 0.348 0.358 0.462
C 0.356 0.145 0.386
C 0.358 0.652 0.212
C 0.642 0.348 0.712
C 0.644 0.855 0.886
C 0.652 0.642 0.962
C 0.855 0.356 0.636

Top 10 peaks for 2θ from 15° to 90°, by angle:
- 24.0°, 3.702 Å, intensity 31.9
- 24.5°, 3.631 Å, intensity 39.3
- 29.8°, 3.003 Å, intensity 85.2
- 33.7°, 2.661 Å, intensity 71.5
- 34.0°, 2.635 Å, intensity 100.0
- 35.4°, 2.537 Å, intensity 84.8
- 38.9°, 2.314 Å, intensity 70.7
- 47.9°, 1.898 Å, intensity 60.6
- 55.1°, 1.666 Å, intensity 34.7
- 66.9°, 1.398 Å, intensity 47.1